Record 1
# Ba2LaRuO6
Computed powder XRD pattern, Cu Kα (weighted mean of Kα1 and Kα2). Input: a GGA-PBE-relaxed structure.
No peak broadening, texture or thermal motion is included.

Crystal structure
a = 10.556 Å, b = 6.082 Å, c = 6.151 Å
α = 90.00°, β = 125.22°, γ = 90.00°
Space group C2/m (No. 12)
Inequivalent atoms, fractional coordinates:
Ba: 0.249 0.000 0.246 (multiplicity 4)
La: 0.000 0.000 0.500 (multiplicity 2)
Ru: 0.000 0.500 0.000 (multiplicity 2)
O: 0.025 0.273 0.795 (multiplicity 8)
O: 0.227 0.500 0.278 (multiplicity 4)

Main lines, low angle first (2θ from 10° to 90°):
2theta, intensity
29.03, 330
29.17, 678
29.34, 1000
41.77, 391
41.90, 189
51.45, 138
51.74, 147
52.00, 469
68.74, 125
84.17, 144

Record 2
# HfCrGe2
Computed powder XRD pattern, Cu Kα (weighted mean of Kα1 and Kα2). Input: a GGA-PBE-relaxed structure.
No peak broadening, texture or thermal motion is included.

Crystal structure
a = 9.264 Å, b = 10.002 Å, c = 8.167 Å
α = 90.00°, β = 90.00°, γ = 90.00°
Space group Pbam (No. 55)
Inequivalent atoms, fractional coordinates:
Hf: 0.166 0.179 0.000 (multiplicity 4)
Hf: 0.171 0.453 0.245 (multiplicity 8)
Cr: 0.000 0.000 0.243 (multiplicity 4)
Cr: 0.085 0.752 0.249 (multiplicity 8)
Ge: 0.041 0.621 0.000 (multiplicity 4)
Ge: 0.048 0.622 0.500 (multiplicity 4)
Ge: 0.127 0.903 0.500 (multiplicity 4)
Ge: 0.134 0.899 0.000 (multiplicity 4)
Ge: 0.165 0.182 0.343 (multiplicity 8)

Main lines, low angle first (2θ from 10° to 90°):
2theta, intensity
28.21, 168
29.85, 168
37.25, 503
37.61, 1000
38.89, 221
39.79, 513
39.97, 912
42.39, 312
44.37, 306
68.75, 164

Record 3
# CaGe2Pt
Computed powder XRD pattern, Cu Kα (weighted mean of Kα1 and Kα2). Input: a GGA-PBE-relaxed structure.
No peak broadening, texture or thermal motion is included.

Crystal structure
a = 4.489 Å, b = 8.952 Å, c = 16.142 Å
α = 90.00°, β = 90.00°, γ = 90.00°
Space group Immm (No. 71)
Inequivalent atoms, fractional coordinates:
Ca: 0.000 0.000 0.204 (multiplicity 4)
Ca: 0.000 0.241 0.000 (multiplicity 4)
Ge: 0.000 0.000 0.421 (multiplicity 4)
Ge: 0.000 0.352 0.195 (multiplicity 8)
Ge: 0.000 0.500 0.424 (multiplicity 4)
Pt: 0.000 0.252 0.351 (multiplicity 8)

Main lines, low angle first (2θ from 10° to 90°):
2theta, intensity
10.96, 344
19.84, 372
20.54, 593
22.03, 310
32.79, 1000
34.21, 342
39.06, 452
40.18, 492
48.50, 414
48.84, 420

Record 4
# Pm3Zn
Computed powder XRD pattern, Cu Kα (weighted mean of Kα1 and Kα2). Input: a GGA-PBE-relaxed structure.
No peak broadening, texture or thermal motion is included.

Crystal structure
a = 7.0304 Å, b = 7.0304 Å, c = 5.3385 Å
α = 90.00°, β = 90.00°, γ = 120.00°
Space group P6_3/mmc (No. 194)
Inequivalent atoms, fractional coordinates:
Pm: 0.1765 0.3531 0.2500 (multiplicity 6)
Zn: 0.3333 0.6667 0.7500 (multiplicity 2)

Main lines, low angle first (2θ from 10° to 90°):
2theta, intensity
22.15, 108
29.34, 245
33.57, 234
33.90, 1000
45.18, 150
52.03, 187
60.24, 189
63.36, 205
63.56, 149
86.53, 117

Record 5
# GdInPd2
Computed powder XRD pattern, Cu Kα (weighted mean of Kα1 and Kα2). Input: a GGA-PBE-relaxed structure.
No peak broadening, texture or thermal motion is included.

Crystal structure
a = 6.855 Å, b = 6.855 Å, c = 6.855 Å
α = 90.00°, β = 90.00°, γ = 90.00°
Space group Fm-3m (No. 225)
Inequivalent atoms, fractional coordinates:
Gd: 0.000 0.000 0.000 (multiplicity 4)
In: 0.000 0.000 0.500 (multiplicity 4)
Pd: 0.250 0.250 0.250 (multiplicity 8)

Main lines, low angle first (2θ from 10° to 90°):
2theta, intensity
22.46, 14
25.99, 15
37.09, 1000
43.80, 8
53.46, 172
60.38, 6
66.86, 346
79.01, 108

Record 6
# ErNi3
Computed powder XRD pattern, Cu Kα (weighted mean of Kα1 and Kα2). Input: a GGA-PBE-relaxed structure.
No peak broadening, texture or thermal motion is included.

Crystal structure
a = 4.9299 Å, b = 4.9299 Å, c = 24.1871 Å
α = 90.00°, β = 90.00°, γ = 120.00°
Space group R-3m (No. 166, hexagonal axes)
Inequivalent atoms, fractional coordinates:
Er: 0.0000 0.0000 0.0000 (multiplicity 3)
Er: 0.0000 0.0000 0.1386 (multiplicity 6)
Ni: 0.0000 0.0000 0.3331 (multiplicity 6)
Ni: 0.0000 0.0000 0.5000 (multiplicity 3)
Ni: 0.0016 0.5008 0.9177 (multiplicity 18)

Main lines, low angle first (2θ from 10° to 90°):
2theta, intensity
33.36, 504
36.43, 922
42.51, 370
43.01, 1000
45.01, 199
46.48, 268
63.64, 151
65.58, 257
70.12, 196
77.44, 201

Record 7
# ZnHg3
Computed powder XRD pattern, Cu Kα (weighted mean of Kα1 and Kα2). Input: a GGA-PBE-relaxed structure.
No peak broadening, texture or thermal motion is included.

Crystal structure
a = 4.387 Å, b = 4.387 Å, c = 10.106 Å
α = 90.00°, β = 90.00°, γ = 90.00°
Space group I4/mmm (No. 139)
Inequivalent atoms, fractional coordinates:
Zn: 0.000 0.000 0.000 (multiplicity 2)
Hg: 0.000 0.000 0.500 (multiplicity 2)
Hg: 0.000 0.500 0.250 (multiplicity 4)

Main lines, low angle first (2θ from 10° to 90°):
2theta, intensity
22.09, 103
33.91, 1000
35.53, 221
41.15, 296
55.48, 249
59.61, 100
62.78, 172
70.38, 247
71.36, 119
89.54, 70